Structure and computed powder X-ray diffraction pattern of Li2MnOF3 (a GGA+U-relaxed structure; CuKα).

Largest 6 diffraction maxima, most intense first, 2θ = 10–90°:
2θ 18.2, I = 100.0, hkl 0 1 0; 2θ 40.6, I = 46.1, hkl 1 1 -2; 2θ 43.4, I = 39.1, hkl 1 -2 2; 2θ 43.9, I = 35.0, hkl 0 1 4; 2θ 18.6, I = 29.9, hkl 0 1 -1; 2θ 32.5, I = 19.5, hkl 1 0 1

Structural model:
```
data_Li2MnOF3
_space_group_name_H-M_alt 'P -1'
_space_group_IT_number 2
_cell_length_a 3.062
_cell_length_b 5.132
_cell_length_c 10.257
_cell_angle_alpha 100.82
_cell_angle_beta 92.86
_cell_angle_gamma 104.34
loop_
_space_group_symop_operation_xyz
'x,y,z'
'-x,-y,-z'
loop_
_atom_site_label
_atom_site_fract_x
_atom_site_fract_y
_atom_site_fract_z
Li1 0.000 0.000 0.000
Li2 0.000 0.000 0.500
Li3 0.217 0.456 0.388
Mn1 0.253 0.483 0.873
O1 0.385 0.720 0.049
F1 0.093 0.270 0.179
F2 0.178 0.303 0.692
F3 0.365 0.745 0.549
```